Diffraction record for Li5Co7O12. The powder diffraction line list is theoretical, not measured: it uses the GGA+U geometry in the Materials Project and a wavelength of 1.5418 Å.
Intensities are scaled so that the largest is 100.

Cell and atoms:
a b c (Å): 5.0129 8.7278 9.6527
angles (deg): 90.00 99.58 90.00
Space group C2 (No. 5)
Symmetry-distinct sites (fractional):
Li 0.0000 0.0000 0.0000 [2 per cell]
Li 0.2474 0.8337 0.2412 [4 per cell]
Li 0.2489 0.5027 0.2409 [4 per cell]
Co 0.0000 0.1688 0.5000 [2 per cell]
Co 0.0000 0.3347 0.0000 [2 per cell]
Co 0.0000 0.4979 0.5000 [2 per cell]
Co 0.0000 0.6668 0.0000 [2 per cell]
Co 0.0000 0.8365 0.5000 [2 per cell]
Co 0.2409 0.1624 0.2410 [4 per cell]
O 0.1116 0.5059 0.8838 [4 per cell]
O 0.1136 0.3258 0.3836 [4 per cell]
O 0.1259 0.0116 0.3817 [4 per cell]
O 0.1357 0.1798 0.8875 [4 per cell]
O 0.1376 0.6648 0.3859 [4 per cell]
O 0.1451 0.8210 0.8839 [4 per cell]

Peak list (8 most intense, 15 to 90 degrees two-theta, sorted by position)
| d/Å | I/Imax | h k l |
| --- | --- | --- |
| 4.759 | 31.1 | 0 0 2 |
| 4.364 | 16.7 | 0 2 0 |
| 3.722 | 22.8 | 1 1 1 |
| 2.475 | 11.7 | 1 3 -1 |
| 2.377 | 27.5 | 1 3 1 |
| 2.055 | 100.0 | 1 3 -3 |
| 1.458 | 17.9 | 1 3 5 |
| 1.449 | 27.2 | 3 3 -1 |


Diffraction record for Li3V2P3O12. The powder diffraction line list is theoretical, not measured: it uses the GGA+U geometry in the Materials Project and a wavelength of 1.5418 Å.
Intensities are scaled so that the largest is 100.

Cell and atoms:
a b c (Å): 14.8434 8.8320 8.6273
angles (deg): 90.00 123.56 90.00
Space group C2 (No. 5)
Symmetry-distinct sites (fractional):
Li 0.0000 0.0000 0.0000 [2 per cell]
Li 0.0000 0.3049 0.5000 [2 per cell]
Li 0.2020 0.6952 0.9042 [4 per cell]
Li 0.2490 0.8965 0.2781 [4 per cell]
V 0.1046 0.4009 0.8957 [4 per cell]
V 0.1084 0.8974 0.3922 [4 per cell]
P 0.0000 0.6087 0.5000 [2 per cell]
P 0.0000 0.6975 0.0000 [2 per cell]
P 0.1434 0.0450 0.7936 [4 per cell]
P 0.1491 0.2506 0.2988 [4 per cell]
O 0.0407 0.9896 0.7803 [4 per cell]
O 0.0422 0.3043 0.2702 [4 per cell]
O 0.0623 0.6014 0.9390 [4 per cell]
O 0.0623 0.7049 0.4438 [4 per cell]
O 0.0853 0.5007 0.6594 [4 per cell]
O 0.0860 0.8044 0.1539 [4 per cell]
O 0.1434 0.0055 0.6229 [4 per cell]
O 0.1559 0.0745 0.2987 [4 per cell]
O 0.1596 0.2217 0.8173 [4 per cell]
O 0.1606 0.2982 0.1376 [4 per cell]
O 0.2387 0.9783 0.9815 [4 per cell]
O 0.2397 0.3186 0.4872 [4 per cell]

Peak list (8 most intense, 15 to 90 degrees two-theta, sorted by position)
| d/Å | I/Imax | h k l |
| --- | --- | --- |
| 4.420 | 18.2 | 0 2 0 |
| 4.314 | 43.7 | 3 1 -1 |
| 3.732 | 100.0 | 2 2 -1 |
| 3.088 | 25.4 | 4 0 0 |
| 2.866 | 18.7 | 2 2 1 |
| 2.735 | 30.4 | 5 1 -1 |
| 2.552 | 19.9 | 2 0 2 |
| 1.866 | 13.0 | 4 4 -2 |


Diffraction record for Nd2W3O12. The powder diffraction line list is theoretical, not measured: it uses the GGA+U geometry in the Materials Project and a wavelength of 1.5418 Å.
Intensities are scaled so that the largest is 100.

Cell and atoms:
a b c (Å): 7.9543 11.7762 11.7048
angles (deg): 90.00 109.50 90.00
Space group C2/c (No. 15)
Symmetry-distinct sites (fractional):
Nd 0.1638 0.1233 0.0942 [8 per cell]
W 0.0000 0.1341 0.7500 [4 per cell]
W 0.1435 0.3959 0.5470 [8 per cell]
O 0.0535 0.2848 0.4404 [8 per cell]
O 0.0653 0.4625 0.9280 [8 per cell]
O 0.1291 0.2099 0.8904 [8 per cell]
O 0.1374 0.0514 0.4609 [8 per cell]
O 0.1614 0.0446 0.7177 [8 per cell]
O 0.2169 0.3268 0.6956 [8 per cell]

Peak list (8 most intense, 15 to 90 degrees two-theta, sorted by position)
| d/Å | I/Imax | h k l |
| --- | --- | --- |
| 5.517 | 16.6 | 0 0 2 |
| 4.906 | 27.4 | 1 1 -2 |
| 3.296 | 100.0 | 2 2 -1 |
| 3.119 | 69.1 | 0 2 3 |
| 2.944 | 27.2 | 0 4 0 |
| 2.709 | 16.0 | 2 0 2 |
| 1.993 | 20.2 | 2 4 2 |
| 1.987 | 35.3 | 4 0 -2 |


Diffraction record for Sr2Cr2GaO7. The powder diffraction line list is theoretical, not measured: it uses the GGA+U geometry in the Materials Project and a wavelength of 1.5418 Å.
Intensities are scaled so that the largest is 100.

Cell and atoms:
a b c (Å): 24.7454 5.3613 5.2941
angles (deg): 90.00 90.00 90.00
Space group Ima2 (No. 46)
Symmetry-distinct sites (fractional):
Sr 0.1558 0.0084 0.0000 [8 per cell]
Cr 0.0743 0.5033 0.0014 [8 per cell]
Ga 0.2500 0.5699 0.9519 [4 per cell]
O 0.0769 0.2473 0.7502 [8 per cell]
O 0.0791 0.7480 0.7516 [8 per cell]
O 0.1780 0.0303 0.5135 [8 per cell]
O 0.2500 0.6018 0.5917 [4 per cell]

Peak list (8 most intense, 15 to 90 degrees two-theta, sorted by position)
| d/Å | I/Imax | h k l |
| --- | --- | --- |
| 3.217 | 35.2 | 4 1 1 |
| 2.781 | 100.0 | 6 1 1 |
| 2.681 | 24.5 | 0 2 0 |
| 2.647 | 26.8 | 0 0 2 |
| 2.062 | 17.2 | 12 0 0 |
| 1.884 | 31.5 | 0 2 2 |
| 1.566 | 13.6 | 6 3 1 |
| 1.553 | 16.3 | 6 1 3 |